Starting from DFT lattice parameters and positions (GGA-PBE), the X-ray diffraction stick pattern of LiHg2Ge2 was computed for Cu Kα (weighted mean of Kα1 and Kα2).
Intensities are scaled so that the largest is 100.

Main lines, sorted by position (2θ from 15° to 90°):
| Position (°2θ) | Rel. int. |
| --- | --- |
| 24.7 | 100.0 |
| 33.1 | 30.0 |
| 36.1 | 34.2 |
| 36.8 | 53.5 |
| 41.0 | 45.9 |
| 49.2 | 23.0 |
| 55.8 | 22.3 |
| 60.6 | 21.3 |
| 63.0 | 22.8 |
| 67.9 | 15.7 |

Cell and atoms:
```
5
Lattice="-1.850 1.850 8.128 1.850 -1.850 8.128 1.850 1.850 -8.128" Properties=species:S:1:pos:R:3 pbc="T T T"
Li 0.000 0.000 0.000
Hg 0.000 0.000 6.606
Hg 0.000 0.000 9.650
Ge 1.850 0.000 4.064
Ge 0.000 1.850 4.064
```


Starting from DFT lattice parameters and positions (GGA-PBE), the X-ray diffraction stick pattern of Li14HgGe was computed for Cu Kα (weighted mean of Kα1 and Kα2).
Intensities are scaled so that the largest is 100.

Main lines, sorted by position (2θ from 15° to 90°):
| Position (°2θ) | Rel. int. |
| --- | --- |
| 18.4 | 37.4 |
| 20.7 | 67.8 |
| 22.4 | 28.6 |
| 23.6 | 100.0 |
| 29.5 | 29.0 |
| 30.7 | 52.2 |
| 31.6 | 46.6 |
| 37.3 | 52.8 |
| 40.0 | 25.8 |
| 48.9 | 29.1 |

Cell and atoms:
```
16
Lattice="6.064 0.000 0.000 0.000 6.064 0.000 0.000 0.000 7.947" Properties=species:S:1:pos:R:3 pbc="T T T"
Li 0.000 0.000 0.000
Li 0.000 3.032 0.000
Li 0.000 3.032 3.974
Li 1.464 1.464 2.149
Li 1.464 1.464 5.798
Li 1.464 4.600 2.149
Li 1.464 4.600 5.798
Li 3.032 0.000 0.000
Li 3.032 0.000 3.974
Li 3.032 3.032 0.000
Li 4.600 1.464 2.149
Li 4.600 1.464 5.798
Li 4.600 4.600 2.149
Li 4.600 4.600 5.798
Hg 3.032 3.032 3.974
Ge 0.000 0.000 3.974
```


Starting from DFT lattice parameters and positions (GGA-PBE), the X-ray diffraction stick pattern of LiHgGe2O6 was computed for Cu Kα (weighted mean of Kα1 and Kα2).
Intensities are scaled so that the largest is 100.

Main lines, sorted by position (2θ from 15° to 90°):
| Position (°2θ) | Rel. int. |
| --- | --- |
| 18.3 | 56.2 |
| 23.7 | 44.7 |
| 27.0 | 100.0 |
| 29.1 | 64.0 |
| 31.8 | 29.8 |
| 33.9 | 29.0 |
| 34.5 | 42.9 |
| 39.4 | 18.2 |
| 40.4 | 16.6 |
| 51.9 | 23.8 |

Cell and atoms:
```
20
Lattice="5.204 -4.891 0.000 5.204 4.891 0.000 -2.037 0.000 5.290" Properties=species:S:1:pos:R:3 pbc="T T T"
Li 3.676 2.712 3.968
Li 4.694 -2.712 1.323
Hg 4.694 3.751 1.323
Hg 3.676 -3.751 3.968
Ge 2.600 0.817 1.474
Ge 1.582 -0.817 4.119
Ge 6.788 0.817 1.171
Ge 5.770 -0.817 3.817
O 0.914 0.812 0.846
O 3.070 2.368 2.128
O -0.104 -0.812 3.491
O 3.699 0.417 0.123
O 6.319 2.368 0.517
O 2.680 -0.417 2.769
O 5.690 0.417 2.522
O 2.051 -2.368 4.773
O 4.671 -0.417 5.167
O 8.474 0.812 1.799
O 5.300 -2.368 3.163
O 7.456 -0.812 4.444
```


Starting from DFT lattice parameters and positions (GGA-PBE), the X-ray diffraction stick pattern of LuScHgGe was computed for Cu Kα (weighted mean of Kα1 and Kα2).
Intensities are scaled so that the largest is 100.

Main lines, sorted by position (2θ from 15° to 90°):
| Position (°2θ) | Rel. int. |
| --- | --- |
| 21.9 | 30.0 |
| 36.1 | 100.0 |
| 42.6 | 17.0 |
| 52.0 | 17.6 |
| 57.1 | 7.5 |
| 65.0 | 36.0 |
| 69.5 | 5.7 |
| 76.7 | 11.2 |
| 80.9 | 5.8 |
| 87.8 | 16.5 |

Cell and atoms:
```
4
Lattice="0.000 3.516 3.516 3.516 0.000 3.516 3.516 3.516 0.000" Properties=species:S:1:pos:R:3 pbc="T T T"
Lu 0.000 0.000 0.000
Sc 3.516 3.516 3.516
Hg 5.274 5.274 5.274
Ge 1.758 1.758 1.758
```


Starting from DFT lattice parameters and positions (GGA-PBE), the X-ray diffraction stick pattern of MgHgGe was computed for Cu Kα (weighted mean of Kα1 and Kα2).
Intensities are scaled so that the largest is 100.

Main lines, sorted by position (2θ from 15° to 90°):
| Position (°2θ) | Rel. int. |
| --- | --- |
| 27.2 | 42.8 |
| 28.1 | 100.0 |
| 31.3 | 61.7 |
| 39.5 | 93.0 |
| 40.1 | 56.9 |
| 49.2 | 35.0 |
| 50.7 | 24.2 |
| 58.0 | 19.3 |
| 59.0 | 24.4 |
| 72.5 | 31.5 |

Cell and atoms:
```
3
Lattice="3.178 0.000 0.000 0.000 3.178 0.000 0.000 0.000 6.552" Properties=species:S:1:pos:R:3 pbc="T T T"
Mg 0.000 0.000 0.000
Hg 1.589 1.589 4.486
Ge 1.589 1.589 1.780
```


Starting from DFT lattice parameters and positions (GGA-PBE), the X-ray diffraction stick pattern of MgHgGe2O6 was computed for Cu Kα (weighted mean of Kα1 and Kα2).
Intensities are scaled so that the largest is 100.

Main lines, sorted by position (2θ from 15° to 90°):
| Position (°2θ) | Rel. int. |
| --- | --- |
| 18.0 | 40.9 |
| 19.9 | 44.0 |
| 28.6 | 100.0 |
| 29.0 | 98.0 |
| 32.5 | 81.3 |
| 32.6 | 76.2 |
| 34.2 | 68.9 |
| 41.3 | 32.4 |
| 54.4 | 25.6 |
| 59.7 | 28.3 |

Cell and atoms:
```
20
Lattice="5.017 -4.926 0.000 5.017 4.926 0.000 -0.899 0.000 5.241" Properties=species:S:1:pos:R:3 pbc="T T T"
Mg 4.344 2.717 3.931
Mg 4.793 -2.717 1.310
Hg 4.793 0.948 1.310
Hg 4.344 -0.948 3.931
Ge 1.274 0.880 4.077
Ge 1.724 -0.880 1.456
Ge 7.413 0.880 3.784
Ge 7.862 -0.880 1.164
O 1.407 0.657 0.489
O 3.558 2.788 2.100
O 0.958 -0.657 3.110
O 3.010 1.082 4.354
O 6.028 2.788 0.520
O 3.459 -1.082 1.734
O 5.677 1.082 3.507
O 3.108 -2.788 4.721
O 6.126 -1.082 0.887
O 8.178 0.657 2.131
O 5.579 -2.788 3.140
O 7.729 -0.657 4.751
```